Record 1
Diffraction record for Ac3Bi4. The powder diffractogram is computed, not measured: it uses the GGA-PBE geometry in Alexandria and Cu Kα (λ = 1.5418 Å).
Peak positions follow from Bragg's law for the DFT cell and can differ from measured ones.

Structural model:
Cell: 6.845 6.845 6.845 Å, 90.00 90.00 90.00°
Positions (direct):
Ac: 0.000 0.000 0.500
Ac: 0.000 0.500 0.000
Ac: 0.500 0.000 0.000
Bi: 0.000 0.000 0.000
Bi: 0.000 0.500 0.500
Bi: 0.500 0.000 0.500
Bi: 0.500 0.500 0.000

Top 10 peaks for 2θ from 5° to 70°, in order of rising 2θ:
12.93 deg, I 11
18.33 deg, I 10
26.04 deg, I 100
29.17 deg, I 7
32.03 deg, I 5
37.15 deg, I 81
45.93 deg, I 30
53.55 deg, I 14
60.49 deg, I 40
66.98 deg, I 30

Record 2
Diffraction record for Ca2Ac2Bi2P. The powder diffractogram is computed, not measured: it uses the GGA-PBE geometry in Alexandria and Cu Kα (λ = 1.5418 Å).
Peak positions follow from Bragg's law for the DFT cell and can differ from measured ones.

Structural model:
Cell: 5.251 5.251 17.851 Å, 90.00 90.00 90.00°
Positions (direct):
Ca: 0.000 0.500 0.000
Ca: 0.000 0.500 0.500
Ca: 0.500 0.000 0.000
Ca: 0.500 0.000 0.500
Ac: 0.000 0.000 0.170
Ac: 0.000 0.000 0.830
Ac: 0.500 0.500 0.330
Ac: 0.500 0.500 0.670
Bi: 0.000 0.000 0.365
Bi: 0.000 0.000 0.635
Bi: 0.500 0.500 0.135
Bi: 0.500 0.500 0.865
P: 0.000 0.000 0.000
P: 0.500 0.500 0.500

Top 10 peaks for 2θ from 5° to 70°, in order of rising 2θ:
19.90 deg, I 27
23.97 deg, I 100
25.99 deg, I 30
30.27 deg, I 39
31.34 deg, I 68
34.15 deg, I 61
38.79 deg, I 27
46.11 deg, I 28
46.28 deg, I 25
49.08 deg, I 34

Record 3
Diffraction record for AcCd2Bi2. The powder diffractogram is computed, not measured: it uses the GGA-PBE geometry in Alexandria and Cu Kα (λ = 1.5418 Å).
Peak positions follow from Bragg's law for the DFT cell and can differ from measured ones.

Structural model:
Cell: 13.920 13.920 4.738 Å, 90.00 90.00 160.68°
Positions (direct):
Ac: 0.152 0.848 0.750
Ac: 0.848 0.152 0.250
Cd: 0.035 0.965 0.250
Cd: 0.461 0.539 0.250
Cd: 0.539 0.461 0.750
Cd: 0.965 0.035 0.750
Bi: 0.250 0.750 0.250
Bi: 0.379 0.621 0.750
Bi: 0.621 0.379 0.250
Bi: 0.750 0.250 0.750

Top 10 peaks for 2θ from 5° to 70°, in order of rising 2θ:
25.97 deg, I 11
28.55 deg, I 16
31.45 deg, I 100
32.63 deg, I 11
37.97 deg, I 22
38.55 deg, I 19
50.92 deg, I 6
55.22 deg, I 15
64.56 deg, I 13
65.34 deg, I 12

Record 4
Diffraction record for Ac5Cd2Bi. The powder diffractogram is computed, not measured: it uses the GGA-PBE geometry in Alexandria and Cu Kα (λ = 1.5418 Å).
Peak positions follow from Bragg's law for the DFT cell and can differ from measured ones.

Structural model:
Cell: 9.627 9.627 9.627 Å, 122.55 122.55 85.64°
Positions (direct):
Ac: 0.000 0.000 0.000
Ac: 0.008 0.508 0.811
Ac: 0.197 0.008 0.500
Ac: 0.303 0.803 0.811
Ac: 0.492 0.303 0.500
Ac: 0.500 0.500 0.000
Ac: 0.508 0.697 0.500
Ac: 0.697 0.197 0.189
Ac: 0.803 0.992 0.500
Ac: 0.992 0.492 0.189
Cd: 0.138 0.362 0.500
Cd: 0.362 0.862 0.225
Cd: 0.638 0.138 0.775
Cd: 0.862 0.638 0.500
Bi: 0.250 0.250 0.000
Bi: 0.750 0.750 0.000

Top 10 peaks for 2θ from 5° to 70°, in order of rising 2θ:
22.38 deg, I 12
27.26 deg, I 11
28.72 deg, I 100
30.55 deg, I 57
31.88 deg, I 21
43.75 deg, I 10
44.73 deg, I 11
46.95 deg, I 9
49.09 deg, I 14
57.05 deg, I 23